Record 1
Diffraction record for Ag2PdC2O6. The powder diffractogram is calculated, not measured: it uses DFT lattice parameters and positions (GGA-PBE) and Cu Kα.

Atomic structure:
Cell lengths 6.754, 6.754, 6.754 Å; angles 44.21, 44.21, 44.21 degrees
Atoms (fractional coordinates):
Ag1 0.206 0.206 0.206
Ag2 0.794 0.794 0.794
Pd1 0.000 0.000 0.000
C1 0.412 0.412 0.412
C2 0.588 0.588 0.588
O1 0.268 0.268 0.711
O2 0.268 0.711 0.268
O3 0.289 0.732 0.732
O4 0.711 0.268 0.268
O5 0.732 0.289 0.732
O6 0.732 0.732 0.289

The 10 most intense peaks (2θ from 10° to 80°), low angle first:
- 2θ 20.76, intensity 38
- 2θ 28.17, intensity 25
- 2θ 31.85, intensity 100
- 2θ 35.31, intensity 59
- 2θ 45.77, intensity 21
- 2θ 48.28, intensity 26
- 2θ 54.43, intensity 20
- 2θ 58.20, intensity 14
- 2θ 61.22, intensity 22
- 2θ 77.66, intensity 13

***

Record 2
Diffraction record for RbCrI4. The powder diffractogram is calculated, not measured: it uses DFT lattice parameters and positions (GGA-PBE) and Cu Kα.

Atomic structure:
Cell lengths 9.410, 9.410, 7.808 Å; angles 103.54, 103.54, 43.50 degrees
Atoms (fractional coordinates):
Rb1 0.151 0.849 0.750
Rb2 0.849 0.151 0.250
Cr1 0.000 0.500 0.000
Cr2 0.500 0.000 0.500
I1 0.134 0.263 0.669
I2 0.263 0.134 0.169
I3 0.279 0.521 0.063
I4 0.479 0.721 0.437
I5 0.521 0.279 0.563
I6 0.721 0.479 0.937
I7 0.737 0.866 0.831
I8 0.866 0.737 0.331

The 10 most intense peaks (2θ from 10° to 80°), low angle first:
- 2θ 25.41, intensity 44
- 2θ 27.41, intensity 60
- 2θ 28.51, intensity 83
- 2θ 29.05, intensity 100
- 2θ 29.34, intensity 79
- 2θ 37.05, intensity 29
- 2θ 38.37, intensity 29
- 2θ 44.69, intensity 23
- 2θ 44.94, intensity 29
- 2θ 49.48, intensity 21

***

Record 3
Diffraction record for Ce2Sm2Co3. The powder diffractogram is calculated, not measured: it uses DFT lattice parameters and positions (GGA-PBE) and Cu Kα.

Atomic structure:
Cell lengths 4.005, 5.778, 6.935 Å; angles 88.01, 79.39, 71.53 degrees
Atoms (fractional coordinates):
Ce1 0.158 0.198 0.407
Ce2 0.842 0.802 0.593
Sm1 0.399 0.285 0.879
Sm2 0.601 0.715 0.121
Co1 0.161 0.835 0.827
Co2 0.500 0.500 0.500
Co3 0.839 0.165 0.173

The 10 most intense peaks (2θ from 10° to 80°), low angle first:
- 2θ 29.44, intensity 56
- 2θ 30.54, intensity 100
- 2θ 31.27, intensity 51
- 2θ 32.16, intensity 60
- 2θ 32.69, intensity 76
- 2θ 33.03, intensity 78
- 2θ 35.11, intensity 50
- 2θ 37.78, intensity 79
- 2θ 38.90, intensity 55
- 2θ 45.58, intensity 65

***

Record 4
Diffraction record for Li5Cd2Ag2. The powder diffractogram is calculated, not measured: it uses DFT lattice parameters and positions (GGA-PBE) and Cu Kα.

Atomic structure:
Cell lengths 8.131, 7.572, 5.078 Å; angles 77.22, 65.25, 37.52 degrees
Atoms (fractional coordinates):
Li1 0.000 0.000 0.000
Li2 0.150 0.150 0.350
Li3 0.350 0.350 0.150
Li4 0.650 0.650 0.850
Li5 0.850 0.850 0.650
Cd1 0.258 0.258 0.742
Cd2 0.742 0.742 0.258
Ag1 0.335 0.665 0.335
Ag2 0.665 0.335 0.665

The 10 most intense peaks (2θ from 10° to 80°), low angle first:
- 2θ 19.65, intensity 49
- 2θ 24.92, intensity 100
- 2θ 25.49, intensity 86
- 2θ 30.66, intensity 54
- 2θ 36.46, intensity 33
- 2θ 39.91, intensity 61
- 2θ 40.28, intensity 58
- 2θ 40.93, intensity 35
- 2θ 44.59, intensity 22
- 2θ 45.53, intensity 22

***

Record 5
Diffraction record for Tm2Ga3Pt5. The powder diffractogram is calculated, not measured: it uses DFT lattice parameters and positions (GGA-PBE) and Cu Kα.

Atomic structure:
Cell lengths 12.615, 12.615, 6.798 Å; angles 90.00, 90.00, 161.13 degrees
Atoms (fractional coordinates):
Tm1 0.026 0.974 0.500
Tm2 0.323 0.677 0.445
Tm3 0.677 0.323 0.945
Tm4 0.974 0.026 0.000
Ga1 0.124 0.876 0.263
Ga2 0.285 0.715 0.902
Ga3 0.459 0.541 0.310
Ga4 0.541 0.459 0.810
Ga5 0.715 0.285 0.402
Ga6 0.876 0.124 0.763
Pt1 0.098 0.902 0.864
Pt2 0.195 0.805 0.642
Pt3 0.225 0.775 0.198
Pt4 0.384 0.616 0.041
Pt5 0.445 0.555 0.681
Pt6 0.555 0.445 0.181
Pt7 0.616 0.384 0.541
Pt8 0.775 0.225 0.698
Pt9 0.805 0.195 0.142
Pt10 0.902 0.098 0.364

The 10 most intense peaks (2θ from 10° to 80°), low angle first:
- 2θ 27.44, intensity 9
- 2θ 35.85, intensity 100
- 2θ 38.52, intensity 10
- 2θ 38.77, intensity 37
- 2θ 39.20, intensity 11
- 2θ 40.46, intensity 11
- 2θ 42.46, intensity 12
- 2θ 43.78, intensity 29
- 2θ 45.74, intensity 12
- 2θ 75.25, intensity 12

***

Record 6
Diffraction record for Sr3TlPd2. The powder diffractogram is calculated, not measured: it uses DFT lattice parameters and positions (GGA-PBE) and Cu Kα.

Atomic structure:
Cell lengths 9.013, 9.013, 10.561 Å; angles 90.00, 90.00, 113.66 degrees
Atoms (fractional coordinates):
Sr1 0.090 0.339 0.540
Sr2 0.161 0.410 0.960
Sr3 0.165 0.835 0.774
Sr4 0.335 0.665 0.274
Sr5 0.339 0.090 0.460
Sr6 0.410 0.161 0.040
Sr7 0.590 0.839 0.960
Sr8 0.661 0.910 0.540
Sr9 0.665 0.335 0.726
Sr10 0.835 0.165 0.226
Sr11 0.839 0.590 0.040
Sr12 0.910 0.661 0.460
Tl1 0.060 0.940 0.194
Tl2 0.440 0.560 0.694
Tl3 0.560 0.440 0.306
Tl4 0.940 0.060 0.806
Pd1 0.221 0.779 0.044
Pd2 0.223 0.277 0.250
Pd3 0.277 0.223 0.750
Pd4 0.279 0.721 0.544
Pd5 0.721 0.279 0.456
Pd6 0.723 0.777 0.250
Pd7 0.777 0.723 0.750
Pd8 0.779 0.221 0.956

The 10 most intense peaks (2θ from 10° to 80°), low angle first:
- 2θ 20.53, intensity 99
- 2θ 27.54, intensity 50
- 2θ 29.07, intensity 45
- 2θ 31.03, intensity 100
- 2θ 34.42, intensity 86
- 2θ 36.44, intensity 65
- 2θ 39.50, intensity 45
- 2θ 39.62, intensity 45
- 2θ 41.19, intensity 46
- 2θ 42.19, intensity 30

***

Record 7
Diffraction record for Tb4Ho7Sc. The powder diffractogram is calculated, not measured: it uses DFT lattice parameters and positions (GGA-PBE) and Cu Kα.

Atomic structure:
Cell lengths 6.137, 7.093, 8.732 Å; angles 78.26, 83.31, 90.00 degrees
Atoms (fractional coordinates):
Tb1 0.000 0.000 0.000
Tb2 0.106 0.665 0.337
Tb3 0.501 0.254 0.996
Tb4 0.610 0.914 0.339
Ho1 0.111 0.168 0.334
Ho2 0.220 0.335 0.668
Ho3 0.220 0.831 0.667
Ho4 0.499 0.749 0.997
Ho5 0.611 0.418 0.339
Ho6 0.723 0.083 0.668
Ho7 0.995 0.501 0.997
Sc1 0.721 0.583 0.668

The 10 most intense peaks (2θ from 10° to 80°), low angle first:
- 2θ 29.30, intensity 41
- 2θ 31.62, intensity 50
- 2θ 32.38, intensity 100
- 2θ 34.10, intensity 90
- 2θ 51.58, intensity 25
- 2θ 55.66, intensity 21
- 2θ 59.03, intensity 19
- 2θ 61.76, intensity 44
- 2θ 62.21, intensity 15
- 2θ 63.27, intensity 15

***

Record 8
Diffraction record for BC3. The powder diffractogram is calculated, not measured: it uses DFT lattice parameters and positions (GGA-PBE) and Cu Kα.

Atomic structure:
Cell lengths 3.640, 4.544, 5.230 Å; angles 70.71, 88.52, 67.17 degrees
Atoms (fractional coordinates):
B1 0.000 0.000 0.000
B2 0.108 0.422 0.901
B3 0.698 0.717 0.314
C1 0.021 0.055 0.488
C2 0.118 0.375 0.408
C3 0.357 0.378 0.647
C4 0.365 0.382 0.164
C5 0.423 0.721 0.574
C6 0.441 0.711 0.066
C7 0.667 0.726 0.813
C8 0.757 0.053 0.728
C9 0.777 0.078 0.240

The 10 most intense peaks (2θ from 10° to 80°), low angle first:
- 2θ 18.10, intensity 3
- 2θ 23.60, intensity 9
- 2θ 27.26, intensity 3
- 2θ 42.04, intensity 100
- 2θ 43.05, intensity 56
- 2θ 43.17, intensity 48
- 2θ 72.08, intensity 12
- 2θ 72.21, intensity 40
- 2θ 72.35, intensity 14
- 2θ 75.25, intensity 11

***

Record 9
Diffraction record for Pm3BiO. The powder diffractogram is calculated, not measured: it uses DFT lattice parameters and positions (GGA-PBE) and Cu Kα.

Atomic structure:
Cell lengths 4.966, 4.966, 4.966 Å; angles 90.00, 90.00, 90.00 degrees
Atoms (fractional coordinates):
Pm1 0.000 0.000 0.500
Pm2 0.000 0.500 0.000
Pm3 0.500 0.000 0.000
Bi1 0.500 0.500 0.500
O1 0.000 0.000 0.000

The 10 most intense peaks (2θ from 10° to 80°), low angle first:
- 2θ 17.86, intensity 1
- 2θ 25.37, intensity 4
- 2θ 31.20, intensity 100
- 2θ 36.18, intensity 56
- 2θ 44.70, intensity 2
- 2θ 52.09, intensity 40
- 2θ 61.98, intensity 43
- 2θ 65.07, intensity 14
- 2θ 71.02, intensity 1
- 2θ 76.78, intensity 6

***

Record 10
Diffraction record for Sr2YSb. The powder diffractogram is calculated, not measured: it uses DFT lattice parameters and positions (GGA-PBE) and Cu Kα.

Atomic structure:
Cell lengths 4.384, 4.384, 32.129 Å; angles 90.00, 90.00, 120.00 degrees
Atoms (fractional coordinates):
Sr1 0.000 0.000 0.000
Sr2 0.000 0.000 0.218
Sr3 0.333 0.667 0.667
Sr4 0.333 0.667 0.885
Sr5 0.667 0.333 0.333
Sr6 0.667 0.333 0.552
Y1 0.000 0.000 0.769
Y2 0.333 0.667 0.435
Y3 0.667 0.333 0.102
Sb1 0.000 0.000 0.486
Sb2 0.333 0.667 0.152
Sb3 0.667 0.333 0.819

The 10 most intense peaks (2θ from 10° to 80°), low angle first:
- 2θ 25.96, intensity 100
- 2θ 30.56, intensity 22
- 2θ 32.45, intensity 28
- 2θ 36.64, intensity 12
- 2θ 38.90, intensity 14
- 2θ 41.18, intensity 35
- 2θ 46.22, intensity 13
- 2θ 49.32, intensity 17
- 2θ 66.15, intensity 14
- 2θ 67.69, intensity 10